(1)
Diffraction record for Co4OF11. The X-ray powder pattern is theoretical, not measured: it uses a GGA+U-relaxed structure and Cu Kα, 1.54184 Å.

Main lines, by intensity (2θ from 5° to 70°):
Position (°2θ), I (rel.), (hkl)
24.19, 100, 0 0 2
24.08, 100, 1 -1 0
24.58, 98, 1 1 0
54.77, 27, 1 -1 4
33.81, 21, 1 1 -2
33.62, 21, 1 -1 2
33.98, 21, 0 2 0
49.55, 19, 0 0 4

Atomic structure:
a b c (Å): 5.076 5.291 7.377
angles (deg): 93.94 90.32 91.15
Space group P1 (No. 1)
Inequivalent atoms, fractional coordinates:
Co: 0.000 0.000 0.000 (multiplicity 1)
Co: 0.006 0.015 0.503 (multiplicity 1)
Co: 0.506 0.515 0.503 (multiplicity 1)
Co: 0.517 0.519 0.003 (multiplicity 1)
O: 0.787 0.718 0.963 (multiplicity 1)
F: 0.120 0.011 0.752 (multiplicity 1)
F: 0.195 0.709 0.448 (multiplicity 1)
F: 0.210 0.325 0.055 (multiplicity 1)
F: 0.311 0.821 0.062 (multiplicity 1)
F: 0.322 0.210 0.448 (multiplicity 1)
F: 0.391 0.516 0.756 (multiplicity 1)
F: 0.626 0.516 0.253 (multiplicity 1)
F: 0.691 0.820 0.564 (multiplicity 1)
F: 0.699 0.209 0.946 (multiplicity 1)
F: 0.817 0.321 0.562 (multiplicity 1)
F: 0.894 0.022 0.258 (multiplicity 1)

(2)
Diffraction record for BaFeCuF7. The X-ray powder pattern is theoretical, not measured: it uses a GGA+U-relaxed structure and Cu Kα, 1.54184 Å.

Main lines, by intensity (2θ from 5° to 70°):
Position (°2θ), I (rel.), (hkl)
24.90, 100, 0 2 1
26.58, 83, 3 1 -1
25.16, 57, 1 1 1
40.34, 52, 2 4 -1
25.68, 44, 2 2 0
51.40, 40, 2 2 -3
39.87, 39, 0 2 2
29.54, 38, 3 1 0

Atomic structure:
a b c (Å): 10.816 10.116 5.753
angles (deg): 90.00 118.50 90.00
Space group C2 (No. 5)
Inequivalent atoms, fractional coordinates:
Ba: 0.000 0.000 0.000 (multiplicity 2)
Ba: 0.000 0.366 0.500 (multiplicity 2)
Fe: 0.191 0.792 0.636 (multiplicity 4)
Cu: 0.184 0.582 0.129 (multiplicity 4)
F: 0.000 0.501 0.000 (multiplicity 2)
F: 0.000 0.874 0.500 (multiplicity 2)
F: 0.125 0.225 0.262 (multiplicity 4)
F: 0.126 0.744 0.265 (multiplicity 4)
F: 0.130 0.633 0.736 (multiplicity 4)
F: 0.132 0.140 0.766 (multiplicity 4)
F: 0.246 0.890 0.968 (multiplicity 4)
F: 0.247 0.959 0.519 (multiplicity 4)

(3)
Diffraction record for Li9Mn2Co5O16. The X-ray powder pattern is theoretical, not measured: it uses a GGA+U-relaxed structure and Cu Kα, 1.54184 Å.

Main lines, by intensity (2θ from 5° to 70°):
Position (°2θ), I (rel.), (hkl)
18.43, 100, 0 0 4
42.11, 31, -1 1 5
44.08, 27, 1 1 5
44.23, 26, 0 2 -6
36.23, 25, 1 1 1
34.93, 18, -1 1 1
62.55, 15, 1 -3 1
37.34, 8, 0 0 8

Atomic structure:
a b c (Å): 2.968 5.057 19.304
angles (deg): 93.60 91.66 91.79
Space group P1 (No. 1)
Inequivalent atoms, fractional coordinates:
Li: 0.000 0.000 0.000 (multiplicity 1)
Li: 0.000 0.126 0.376 (multiplicity 1)
Li: 0.001 0.253 0.747 (multiplicity 1)
Li: 0.011 0.501 0.497 (multiplicity 1)
Li: 0.495 0.012 0.497 (multiplicity 1)
Li: 0.499 0.505 0.000 (multiplicity 1)
Li: 0.500 0.243 0.256 (multiplicity 1)
Li: 0.502 0.748 0.749 (multiplicity 1)
Li: 0.988 0.755 0.258 (multiplicity 1)
Mn: 0.499 0.876 0.127 (multiplicity 1)
Mn: 0.500 0.127 0.874 (multiplicity 1)
Co: 0.000 0.627 0.875 (multiplicity 1)
Co: 0.001 0.877 0.624 (multiplicity 1)
Co: 0.500 0.377 0.624 (multiplicity 1)
Co: 0.500 0.625 0.376 (multiplicity 1)
Co: 0.998 0.377 0.127 (multiplicity 1)
O: 0.017 0.793 0.430 (multiplicity 1)
O: 0.037 0.694 0.067 (multiplicity 1)
O: 0.039 0.188 0.566 (multiplicity 1)
O: 0.041 0.929 0.816 (multiplicity 1)
O: 0.490 0.557 0.182 (multiplicity 1)
O: 0.491 0.436 0.818 (multiplicity 1)
O: 0.495 0.684 0.570 (multiplicity 1)
O: 0.498 0.355 0.431 (multiplicity 1)
O: 0.502 0.899 0.321 (multiplicity 1)
O: 0.504 0.073 0.680 (multiplicity 1)
O: 0.507 0.819 0.932 (multiplicity 1)
O: 0.510 0.192 0.070 (multiplicity 1)
O: 0.959 0.565 0.681 (multiplicity 1)
O: 0.960 0.324 0.934 (multiplicity 1)
O: 0.962 0.061 0.187 (multiplicity 1)
O: 0.984 0.460 0.322 (multiplicity 1)

(4)
Diffraction record for LiV3Zn2O8. The X-ray powder pattern is theoretical, not measured: it uses a GGA+U-relaxed structure and Cu Kα, 1.54184 Å.

Main lines, by intensity (2θ from 5° to 70°):
Position (°2θ), I (rel.), (hkl)
35.06, 100, 1 2 1
35.18, 88, 1 -2 1
29.99, 79, 1 1 -2
29.90, 51, 2 0 0
35.24, 50, 2 1 -1
61.97, 39, 0 4 0
35.37, 35, 1 0 -3
18.27, 30, 1 0 -1

Atomic structure:
a b c (Å): 5.974 5.994 8.446
angles (deg): 89.93 89.48 89.68
Space group P1 (No. 1)
Inequivalent atoms, fractional coordinates:
Li: 0.000 0.000 0.000 (multiplicity 1)
Li: 0.493 0.505 0.495 (multiplicity 1)
V: 0.241 0.254 0.750 (multiplicity 1)
V: 0.245 0.755 0.748 (multiplicity 1)
V: 0.493 0.003 0.002 (multiplicity 1)
V: 0.744 0.252 0.248 (multiplicity 1)
V: 0.745 0.752 0.245 (multiplicity 1)
V: 0.999 0.502 0.499 (multiplicity 1)
Zn: 0.233 0.000 0.378 (multiplicity 1)
Zn: 0.255 0.500 0.116 (multiplicity 1)
Zn: 0.731 0.503 0.877 (multiplicity 1)
Zn: 0.751 0.999 0.617 (multiplicity 1)
O: 0.001 0.514 0.735 (multiplicity 1)
O: 0.027 0.990 0.747 (multiplicity 1)
O: 0.218 0.278 0.506 (multiplicity 1)
O: 0.227 0.733 0.513 (multiplicity 1)
O: 0.256 0.232 0.982 (multiplicity 1)
O: 0.260 0.768 0.980 (multiplicity 1)
O: 0.459 0.513 0.744 (multiplicity 1)
O: 0.478 0.994 0.753 (multiplicity 1)
O: 0.519 0.002 0.252 (multiplicity 1)
O: 0.530 0.503 0.249 (multiplicity 1)
O: 0.737 0.241 0.023 (multiplicity 1)
O: 0.738 0.763 0.024 (multiplicity 1)
O: 0.758 0.268 0.476 (multiplicity 1)
O: 0.765 0.728 0.477 (multiplicity 1)
O: 0.959 0.000 0.249 (multiplicity 1)
O: 0.977 0.501 0.257 (multiplicity 1)

(5)
Diffraction record for CrAgO4. The X-ray powder pattern is theoretical, not measured: it uses a GGA+U-relaxed structure and Cu Kα, 1.54184 Å.

Main lines, by intensity (2θ from 5° to 70°):
Position (°2θ), I (rel.), (hkl)
26.80, 100, 1 2 -1
29.10, 90, 1 2 0
29.95, 88, 1 2 -2
30.65, 65, 1 1 1
16.19, 52, 0 1 1
32.58, 52, 2 0 -2
32.26, 45, 1 1 -3
49.97, 40, 0 3 3

Atomic structure:
a b c (Å): 5.508 8.369 8.833
angles (deg): 90.00 124.97 90.00
Space group P2_1/c (No. 14)
Inequivalent atoms, fractional coordinates:
Cr: 0.110 0.187 0.343 (multiplicity 4)
Ag: 0.415 0.528 0.664 (multiplicity 4)
O: 0.083 0.106 0.158 (multiplicity 4)
O: 0.229 0.726 0.214 (multiplicity 4)
O: 0.270 0.058 0.513 (multiplicity 4)
O: 0.314 0.140 0.908 (multiplicity 4)

(6)
Diffraction record for Li9Mn2Co5O16. The X-ray powder pattern is theoretical, not measured: it uses a GGA+U-relaxed structure and Cu Kα, 1.54184 Å.

Main lines, by intensity (2θ from 5° to 70°):
Position (°2θ), I (rel.), (hkl)
18.44, 100, 4 0 0
44.05, 55, 7 1 -2
63.14, 30, 5 1 -6
42.85, 29, 2 0 4
36.28, 26, 3 1 -2
35.42, 16, 2 0 -4
47.70, 10, 5 1 2
58.09, 9, 11 1 -2

Atomic structure:
a b c (Å): 20.910 2.890 10.262
angles (deg): 90.00 113.00 90.00
Space group Cm (No. 8)
Inequivalent atoms, fractional coordinates:
Li: 0.000 0.000 0.000 (multiplicity 2)
Li: 0.000 0.000 0.489 (multiplicity 2)
Li: 0.001 0.500 0.251 (multiplicity 2)
Li: 0.119 0.000 0.425 (multiplicity 2)
Li: 0.243 0.500 0.604 (multiplicity 2)
Li: 0.245 0.000 0.361 (multiplicity 2)
Li: 0.247 0.000 0.863 (multiplicity 2)
Li: 0.247 0.500 0.122 (multiplicity 2)
Li: 0.495 0.000 0.735 (multiplicity 2)
Mn: 0.119 0.500 0.668 (multiplicity 2)
Mn: 0.371 0.000 0.803 (multiplicity 2)
Co: 0.122 0.000 0.931 (multiplicity 2)
Co: 0.126 0.500 0.195 (multiplicity 2)
Co: 0.368 0.500 0.544 (multiplicity 2)
Co: 0.374 0.500 0.059 (multiplicity 2)
Co: 0.375 0.000 0.306 (multiplicity 2)
O: 0.063 0.000 0.202 (multiplicity 2)
O: 0.065 0.000 0.710 (multiplicity 2)
O: 0.065 0.500 0.481 (multiplicity 2)
O: 0.070 0.500 0.967 (multiplicity 2)
O: 0.174 0.500 0.887 (multiplicity 2)
O: 0.178 0.000 0.653 (multiplicity 2)
O: 0.180 0.500 0.377 (multiplicity 2)
O: 0.181 0.000 0.141 (multiplicity 2)
O: 0.310 0.000 0.576 (multiplicity 2)
O: 0.314 0.500 0.333 (multiplicity 2)
O: 0.314 0.500 0.830 (multiplicity 2)
O: 0.317 0.000 0.085 (multiplicity 2)
O: 0.429 0.000 0.030 (multiplicity 2)
O: 0.429 0.000 0.522 (multiplicity 2)
O: 0.430 0.500 0.775 (multiplicity 2)
O: 0.433 0.500 0.278 (multiplicity 2)